Starting from a GGA-PBE-relaxed structure, the XRD peak list of BBrO2 was computed for Cu Kα, 1.54184 Å.

Structural model:
```
BBrO2
1.0
-2.440 2.440 3.443
2.440 -2.440 3.443
2.440 2.440 -3.443
B Br O
2 2 4
Cartesian
2.440 1.220 0.861 B
0.000 1.220 2.582 B
2.440 -1.220 2.582 Br
0.000 3.660 0.861 Br
2.440 0.000 0.000 O
-1.220 1.220 1.722 O
0.000 0.000 3.443 O
1.220 1.220 1.722 O
```

Top 10 peaks for 15 to 90 degrees two-theta, by angle:
2θ 22.3, I 34.1; 2θ 36.9, I 100.0; 2θ 43.5, I 71.6; 2θ 58.3, I 9.9; 2θ 66.4, I 33.5; 2θ 71.0, I 15.1; 2θ 78.4, I 5.6; 2θ 78.5, I 11.2; 2θ 82.8, I 5.5; 2θ 89.9, I 10.5


Starting from a GGA-PBE-relaxed structure, the XRD peak list of B3Pb10Br3O13 was computed for Cu Kα, 1.54184 Å.

Structural model:
```
B3Pb10Br3O13
1.0
8.539 -4.542 0.000
8.539 4.542 0.000
-7.156 0.000 15.592
B Pb Br O
6 20 6 26
Cartesian
4.961 3.907 7.796 B
6.266 2.191 2.832 B
0.401 0.707 13.794 B
3.979 -0.707 5.998 B
2.688 -2.191 10.628 B
8.539 -3.907 0.000 B
-0.991 2.946 15.260 Pb
2.355 2.273 5.431 Pb
0.216 0.269 2.877 Pb
-3.362 -0.269 10.673 Pb
0.229 0.471 10.859 Pb
6.285 1.794 6.048 Pb
3.806 -0.471 3.063 Pb
10.136 2.133 0.400 Pb
3.951 0.451 9.193 Pb
7.529 -0.451 1.397 Pb
-1.223 -2.273 13.227 Pb
9.653 1.224 3.847 Pb
7.812 1.511 9.654 Pb
2.586 -2.946 7.464 Pb
2.707 -1.794 13.844 Pb
6.075 -1.224 11.643 Pb
6.558 -2.133 8.196 Pb
13.537 0.393 4.442 Pb
11.390 -1.511 1.858 Pb
9.959 -0.393 12.238 Pb
-3.334 0.614 14.265 Br
0.244 -0.614 6.469 Br
4.283 1.450 12.446 Br
13.210 1.273 1.152 Br
7.861 -1.450 4.650 Br
9.632 -1.273 8.948 Br
-1.778 1.473 10.273 O
8.193 3.901 0.455 O
4.840 3.578 6.444 O
2.260 1.258 3.392 O
5.444 2.361 1.738 O
5.934 2.811 4.036 O
0.049 1.653 12.850 O
5.438 2.970 8.689 O
0.439 1.084 15.144 O
1.800 -1.473 2.477 O
4.277 0.596 5.605 O
7.389 1.399 2.780 O
-1.318 -1.258 11.188 O
0.699 -0.596 13.401 O
3.627 -1.653 5.054 O
4.017 -1.084 7.348 O
9.670 0.240 1.705 O
1.866 -2.361 9.534 O
6.092 -0.240 9.501 O
3.811 -1.399 10.576 O
7.943 0.493 11.767 O
2.356 -2.811 11.832 O
11.521 -0.493 3.971 O
1.262 -3.578 14.240 O
9.016 -2.970 0.893 O
4.615 -3.901 8.251 O
```

Top 10 peaks for 15 to 90 degrees two-theta, by angle:
2θ 22.7, I 65.5; 2θ 24.7, I 53.3; 2θ 26.2, I 54.4; 2θ 27.6, I 47.2; 2θ 27.9, I 51.9; 2θ 28.5, I 96.9; 2θ 28.6, I 100.0; 2θ 28.8, I 95.2; 2θ 29.7, I 69.2; 2θ 31.1, I 43.5